Calculated PXRD pattern
Compound: Ce2Sm3YP6
Radiation: Cu Kα, 1.54184 Å
Structure: a DFT-relaxed cell (GGA-PBE, Alexandria)
Intensities are scaled so that the largest is 100.

Cell and atoms:
abc: 7.067 12.241 7.073
angles: 90.00 109.46 90.00
Space group C2/m (No. 12)
Symmetry-distinct sites (fractional):
1 Ce 0.000 0.167 0.000 x4
2 Sm 0.000 0.000 0.500 x2
3 Sm 0.000 0.333 0.500 x4
4 Y 0.000 0.500 0.000 x2
5 P 0.248 0.000 0.246 x4
6 P 0.248 0.333 0.244 x8

Largest 12 diffraction maxima, in order of rising 2θ, 10 to 90 degrees two-theta:
two_theta  I (rel.)
13.3  1
26.8  76
31.0  100
44.4  73
52.6  9
52.6  28
55.1  25
64.6  12
71.2  15
73.4  32
81.7  24
87.9  12